[1]
Starting from a structure optimized by DFT (PBE), the X-ray diffraction stick pattern of Tl3HgS8 was computed for copper Kα.
Lines closer than 0.1° are merged.

Most intense lines, 2θ = 5–70°, by angle:
two_theta  I_rel
20.45  37.0
23.99  100.0
29.08  46.8
38.04  64.3
44.15  30.5
57.62  18.4

Atomic structure:
```
data_Tl3HgS8
_chemical_formula_sum 'Tl12 Hg4 S32'
_cell_length_a 12.278
_cell_length_b 12.289
_cell_length_c 9.308
_cell_angle_alpha 90.00
_cell_angle_beta 90.00
_cell_angle_gamma 90.00
_space_group_name_H-M_alt 'F m m 2'
_space_group_IT_number 42
_space_group_name_Hall 'F 2 -2'
loop_
_atom_site_label
_atom_site_fract_x
_atom_site_fract_y
_atom_site_fract_z
_atom_site_occupancy
Tl1 0.000 0.000 0.000 1
Tl2 0.250 0.250 0.251 1
Hg1 0.000 0.000 0.500 1
S1 0.000 0.198 0.387 1
S2 0.000 0.199 0.169 1
S3 0.198 0.000 0.613 1
S4 0.199 0.000 0.831 1
```

[2]
Starting from a structure optimized by DFT (PBE), the X-ray diffraction stick pattern of Ac3ZnTe6 was computed for copper Kα.
Lines closer than 0.1° are merged.

Most intense lines, 2θ = 5–70°, by angle:
two_theta  I_rel
21.14  100.0
28.73  81.6
32.44  98.3
32.96  90.5
33.96  77.2
40.87  53.5

Atomic structure:
```
data_Ac3ZnTe6
_chemical_formula_sum 'Ac12 Zn4 Te24'
_cell_length_a 13.254
_cell_length_b 16.461
_cell_length_c 7.239
_cell_angle_alpha 90.00
_cell_angle_beta 90.00
_cell_angle_gamma 90.00
_space_group_name_H-M_alt 'C m c 21'
_space_group_IT_number 36
_space_group_name_Hall 'C 2c -2'
loop_
_atom_site_label
_atom_site_fract_x
_atom_site_fract_y
_atom_site_fract_z
_atom_site_occupancy
Ac1 0.000 0.123 0.000 1
Ac2 0.173 0.394 0.079 1
Zn1 0.000 0.303 0.645 1
Te1 0.000 0.281 0.283 1
Te2 0.000 0.460 0.764 1
Te3 0.158 0.015 0.294 1
Te4 0.168 0.239 0.789 1
```

[3]
Starting from a structure optimized by DFT (PBE), the X-ray diffraction stick pattern of Th2Ga3Ni4Au was computed for copper Kα.
Lines closer than 0.1° are merged.

Most intense lines, 2θ = 5–70°, by angle:
two_theta  I_rel
23.69  24.2
33.28  52.7
35.76  100.0
45.36  40.7
47.42  25.3
57.41  22.7

Atomic structure:
```
data_Th2Ga3Ni4Au
_chemical_formula_sum 'Th2 Ga3 Ni4 Au1'
_cell_length_a 3.999
_cell_length_b 3.999
_cell_length_c 10.922
_cell_angle_alpha 90.00
_cell_angle_beta 90.00
_cell_angle_gamma 90.00
_space_group_name_H-M_alt 'P -4 m 2'
_space_group_IT_number 115
_space_group_name_Hall 'P -4 -2'
loop_
_atom_site_label
_atom_site_fract_x
_atom_site_fract_y
_atom_site_fract_z
_atom_site_occupancy
Th1 0.000 0.500 0.250 1
Ga1 0.000 0.000 0.000 1
Ga2 0.000 0.500 0.620 1
Ni1 0.000 0.000 0.500 1
Ni2 0.000 0.500 0.841 1
Ni3 0.500 0.500 0.500 1
Au1 0.500 0.500 0.000 1
```

[4]
Starting from a structure optimized by DFT (PBE), the X-ray diffraction stick pattern of Rb5PtO4F2 was computed for copper Kα.
Lines closer than 0.1° are merged.

Most intense lines, 2θ = 5–70°, by angle:
two_theta  I_rel
25.72  48.5
27.50  100.0
28.53  57.1
28.89  94.7
38.79  76.0
51.60  34.9

Atomic structure:
```
data_Rb5PtO4F2
_chemical_formula_sum 'Rb10 Pt2 O8 F4'
_cell_length_a 7.850
_cell_length_b 10.359
_cell_length_c 6.928
_cell_angle_alpha 90.00
_cell_angle_beta 90.00
_cell_angle_gamma 90.00
_space_group_name_H-M_alt 'A m m 2'
_space_group_IT_number 38
_space_group_name_Hall 'A 2 -2'
loop_
_atom_site_label
_atom_site_fract_x
_atom_site_fract_y
_atom_site_fract_z
_atom_site_occupancy
Rb1 0.000 0.000 0.000 1
Rb2 0.266 0.188 0.487 1
Pt1 0.500 0.000 0.997 1
O1 0.326 0.000 0.191 1
O2 0.500 0.130 0.798 1
F1 0.000 0.212 0.752 1
```

[5]
Starting from a structure optimized by DFT (PBE), the X-ray diffraction stick pattern of Pr2Nd12Tm5 was computed for copper Kα.
Lines closer than 0.1° are merged.

Most intense lines, 2θ = 5–70°, by angle:
two_theta  I_rel
27.70  35.7
29.61  22.8
30.56  52.1
31.01  100.0
32.85  33.5
34.73  23.3

Atomic structure:
```
data_Pr2Nd12Tm5
_chemical_formula_sum 'Pr4 Nd24 Tm10'
_cell_length_a 18.042
_cell_length_b 11.701
_cell_length_c 6.245
_cell_angle_alpha 90.00
_cell_angle_beta 100.62
_cell_angle_gamma 90.00
_space_group_name_H-M_alt 'C 1 2/m 1'
_space_group_IT_number 12
_space_group_name_Hall '-C 2y'
loop_
_atom_site_label
_atom_site_fract_x
_atom_site_fract_y
_atom_site_fract_z
_atom_site_occupancy
Pr1 0.000 0.218 0.000 1
Nd1 0.080 0.000 0.346 1
Nd2 0.103 0.263 0.622 1
Nd3 0.103 0.500 0.030 1
Nd4 0.203 0.256 0.213 1
Tm1 0.000 0.500 0.500 1
Tm2 0.178 0.000 0.883 1
Tm3 0.217 0.500 0.570 1
```

[6]
Starting from a structure optimized by DFT (PBE), the X-ray diffraction stick pattern of Pr3Tm4Ga4 was computed for copper Kα.
Lines closer than 0.1° are merged.

Most intense lines, 2θ = 5–70°, by angle:
two_theta  I_rel
30.07  31.1
30.35  100.0
31.20  53.8
34.27  43.9
37.34  46.6
41.09  34.4

Atomic structure:
```
data_Pr3Tm4Ga4
_chemical_formula_sum 'Pr6 Tm8 Ga8'
_cell_length_a 4.817
_cell_length_b 7.648
_cell_length_c 16.129
_cell_angle_alpha 90.00
_cell_angle_beta 90.00
_cell_angle_gamma 90.00
_space_group_name_H-M_alt 'I m m m'
_space_group_IT_number 71
_space_group_name_Hall '-I 2 2'
loop_
_atom_site_label
_atom_site_fract_x
_atom_site_fract_y
_atom_site_fract_z
_atom_site_occupancy
Pr1 0.000 0.000 0.000 1
Pr2 0.000 0.500 0.109 1
Tm1 0.000 0.289 0.327 1
Ga1 0.000 0.000 0.204 1
Ga2 0.000 0.179 0.500 1
```

[7]
Starting from a structure optimized by DFT (PBE), the X-ray diffraction stick pattern of Zn7Ga4Ag was computed for copper Kα.
Lines closer than 0.1° are merged.

Most intense lines, 2θ = 5–70°, by angle:
two_theta  I_rel
6.57  3.4
38.18  100.0
40.19  28.6
44.98  61.9
64.09  20.4
66.89  17.6

Atomic structure:
```
data_Zn7Ga4Ag
_chemical_formula_sum 'Zn7 Ga4 Ag1'
_cell_length_a 2.9058
_cell_length_b 2.9058
_cell_length_c 26.9232
_cell_angle_alpha 90.00
_cell_angle_beta 90.00
_cell_angle_gamma 120.00
_space_group_name_H-M_alt 'P -3 m 1'
_space_group_IT_number 164
_space_group_name_Hall '-P 3 2"'
loop_
_atom_site_label
_atom_site_fract_x
_atom_site_fract_y
_atom_site_fract_z
_atom_site_occupancy
Zn1 0.0000 0.0000 0.0000 1
Zn2 0.0000 0.0000 0.2478 1
Zn3 0.3333 0.6667 0.1672 1
Zn4 0.3333 0.6667 0.4166 1
Ga1 0.3333 0.6667 0.6676 1
Ga2 0.3333 0.6667 0.9164 1
Ag1 0.0000 0.0000 0.5000 1
```